Structure and simulated powder XRD pattern of Na2HoRe3O12 (a crystal structure in Alexandria, relaxed with GGA-PBE; Cu Kα (weighted mean of Kα1 and Kα2)).
Neutral-atom scattering factors, no anomalous dispersion.

Principal peaks in the range 2θ = 10–80°, low angle first:
| Position (°2θ) | I_rel | h k l |
| --- | --- | --- |
| 14.09 | 44 | 0 0 3 |
| 14.59 | 100 | 1 0 1 |
| 27.44 | 13 | 0 1 5 |
| 27.97 | 44 | 1 1 3 |
| 28.23 | 27 | 0 2 1 |
| 28.40 | 24 | 0 0 6 |
| 29.42 | 58 | 2 0 2 |
| 33.81 | 32 | 0 2 4 |
| 44.77 | 14 | 3 0 3 |
| 47.90 | 16 | 2 0 8 |
| 49.21 | 22 | 2 2 0 |
| 57.78 | 23 | 2 2 6 |

Cell: 7.4065 7.4065 18.8542 Å, 90.00 90.00 120.00°
Space group R-3m (No. 166, hexagonal axes)
Symmetry-distinct sites (fractional):
Na 0.0000 0.0000 0.2040
Ho 0.0000 0.0000 0.5000
Re 0.0000 0.5000 0.0000
O 0.0467 0.5234 0.0974
O 0.0893 0.5447 0.3459



Structure and simulated powder XRD pattern of Na3HoRh2O6 (a crystal structure in Alexandria, relaxed with GGA-PBE; Cu Kα (weighted mean of Kα1 and Kα2)).
Neutral-atom scattering factors, no anomalous dispersion.

Principal peaks in the range 2θ = 10–80°, low angle first:
| Position (°2θ) | I_rel | h k l |
| --- | --- | --- |
| 16.05 | 100 | 0 0 1 |
| 32.44 | 21 | 0 0 2 |
| 33.13 | 41 | 2 0 -1 |
| 34.47 | 52 | 2 0 0 |
| 39.43 | 86 | 1 3 1 |
| 42.82 | 17 | 1 3 -2 |
| 50.95 | 12 | 1 3 2 |
| 55.67 | 19 | 1 3 -3 |
| 58.31 | 25 | 3 3 -1 |
| 60.90 | 17 | 3 3 0 |
| 68.29 | 11 | 3 3 1 |
| 72.68 | 12 | 4 0 0 |

Cell: 5.481 9.496 5.811 Å, 90.00 108.18 90.00°
Space group C2/m (No. 12)
Symmetry-distinct sites (fractional):
Na 0.000 0.000 0.000
Na 0.000 0.328 0.000
Ho 0.000 0.500 0.500
Rh 0.000 0.166 0.500
O 0.219 0.000 0.714
O 0.246 0.323 0.711



Structure and simulated powder XRD pattern of NaHoSO (a crystal structure in Alexandria, relaxed with GGA-PBE; Cu Kα (weighted mean of Kα1 and Kα2)).
Neutral-atom scattering factors, no anomalous dispersion.

Principal peaks in the range 2θ = 10–80°, low angle first:
| Position (°2θ) | I_rel | h k l |
| --- | --- | --- |
| 14.21 | 100 | 0 0 3 |
| 28.48 | 53 | 1 0 1 |
| 28.65 | 19 | 0 0 6 |
| 29.69 | 47 | 0 1 2 |
| 34.11 | 93 | 1 0 4 |
| 37.12 | 27 | 0 1 5 |
| 44.30 | 19 | 1 0 7 |
| 48.34 | 30 | 0 1 8 |
| 49.68 | 33 | 1 1 0 |
| 51.94 | 22 | 1 1 3 |
| 58.33 | 24 | 1 1 6 |
| 61.64 | 16 | 0 2 4 |

Cell: 3.6703 3.6703 18.6956 Å, 90.00 90.00 120.00°
Space group R3m (No. 160, hexagonal axes)
Symmetry-distinct sites (fractional):
Na 0.0000 0.0000 0.0000
Ho 0.0000 0.0000 0.4841
S 0.0000 0.0000 0.2415
O 0.0000 0.0000 0.7663



Structure and simulated powder XRD pattern of Na2HoSbO4 (a crystal structure in Alexandria, relaxed with GGA-PBE; Cu Kα (weighted mean of Kα1 and Kα2)).
Neutral-atom scattering factors, no anomalous dispersion.

Principal peaks in the range 2θ = 10–80°, low angle first:
| Position (°2θ) | I_rel | h k l |
| --- | --- | --- |
| 15.81 | 100 | 1 0 0 |
| 30.52 | 50 | 0 1 1 |
| 31.78 | 20 | 0 0 2 |
| 31.96 | 61 | 2 0 0 |
| 37.02 | 90 | 1 1 1 |
| 40.56 | 14 | 2 1 -1 |
| 48.69 | 13 | 2 1 1 |
| 48.76 | 10 | 3 0 -2 |
| 53.23 | 29 | 1 1 -3 |
| 53.47 | 29 | 0 2 0 |
| 63.56 | 19 | 3 1 1 |
| 66.85 | 9 | 2 2 -2 |

Cell: 5.940 3.425 5.967 Å, 90.00 109.31 90.00°
Space group P2/m (No. 10)
Symmetry-distinct sites (fractional):
Na 0.000 0.000 0.000
Na 0.000 0.500 0.500
Ho 0.500 0.000 0.500
Sb 0.500 0.500 0.000
O 0.279 0.000 0.750
O 0.288 0.500 0.269



Structure and simulated powder XRD pattern of Na2HoSi2O6 (a crystal structure in Alexandria, relaxed with GGA-PBE; Cu Kα (weighted mean of Kα1 and Kα2)).
Neutral-atom scattering factors, no anomalous dispersion.

Principal peaks in the range 2θ = 10–80°, low angle first:
| Position (°2θ) | I_rel | h k l |
| --- | --- | --- |
| 12.20 | 100 | 0 0 1 |
| 18.39 | 30 | 1 0 0 |
| 22.13 | 92 | 1 0 1 |
| 30.84 | 71 | 1 0 2 |
| 32.13 | 34 | 1 1 0 |
| 34.49 | 29 | 2 -1 1 |
| 39.36 | 20 | 2 0 1 |
| 41.78 | 18 | 0 1 3 |
| 45.14 | 24 | 0 2 2 |
| 49.97 | 22 | 1 1 3 |
| 51.69 | 20 | 2 1 1 |
| 56.48 | 23 | 3 -1 2 |

Cell: 5.5711 5.5711 7.2543 Å, 90.00 90.00 120.00°
Space group P-3 (No. 147)
Symmetry-distinct sites (fractional):
Na 0.3333 0.6667 0.2970
Ho 0.0000 0.0000 0.0000
Si 0.3333 0.6667 0.7944
O 0.0708 0.7083 0.8192



Structure and simulated powder XRD pattern of Na2HoSnO4 (a crystal structure in Alexandria, relaxed with GGA-PBE; Cu Kα (weighted mean of Kα1 and Kα2)).
Neutral-atom scattering factors, no anomalous dispersion.

Principal peaks in the range 2θ = 10–80°, low angle first:
| Position (°2θ) | I_rel | h k l |
| --- | --- | --- |
| 15.78 | 100 | 0 0 1 |
| 30.72 | 33 | 1 1 0 |
| 30.91 | 17 | 2 0 -1 |
| 31.87 | 22 | 0 0 2 |
| 32.09 | 41 | 1 1 -1 |
| 32.32 | 20 | 2 0 0 |
| 37.18 | 61 | 1 1 1 |
| 37.31 | 30 | 2 0 -2 |
| 48.85 | 19 | 1 1 2 |
| 53.40 | 20 | 1 1 -3 |
| 53.60 | 20 | 0 2 0 |
| 53.98 | 20 | 3 1 -1 |

Cell: 5.871 3.420 5.950 Å, 90.00 109.31 90.00°
Space group P2/m (No. 10)
Symmetry-distinct sites (fractional):
Na 0.000 0.000 0.000
Na 0.500 0.500 0.000
Ho 0.000 0.500 0.500
Sn 0.500 0.000 0.500
O 0.233 0.000 0.712
O 0.266 0.500 0.288



Structure and simulated powder XRD pattern of NaHo2SnO5 (a crystal structure in Alexandria, relaxed with GGA-PBE; Cu Kα (weighted mean of Kα1 and Kα2)).
Neutral-atom scattering factors, no anomalous dispersion.

Principal peaks in the range 2θ = 10–80°, low angle first:
| Position (°2θ) | I_rel | h k l |
| --- | --- | --- |
| 15.07 | 16 | 0 0 2 |
| 17.04 | 35 | 0 1 1 |
| 26.81 | 12 | 1 1 0 |
| 30.41 | 12 | 0 0 4 |
| 30.88 | 100 | 0 2 0 |
| 31.74 | 9 | 1 0 3 |
| 41.43 | 17 | 0 1 5 |
| 43.84 | 15 | 0 2 4 |
| 44.68 | 12 | 2 0 0 |
| 44.83 | 19 | 1 2 3 |
| 54.85 | 17 | 1 3 2 |
| 62.56 | 10 | 2 1 5 |

Cell: 4.057 5.803 11.759 Å, 90.00 90.00 90.00°
Space group Immm (No. 71)
Symmetry-distinct sites (fractional):
Na 0.000 0.000 0.000
Ho 0.000 0.500 0.215
Sn 0.000 0.000 0.500
O 0.000 0.230 0.341
O 0.000 0.500 0.000



Structure and simulated powder XRD pattern of Na2HoTa5O15 (a crystal structure in Alexandria, relaxed with GGA-PBE; Cu Kα (weighted mean of Kα1 and Kα2)).
Neutral-atom scattering factors, no anomalous dispersion.

Principal peaks in the range 2θ = 10–80°, low angle first:
| Position (°2θ) | I_rel | h k l |
| --- | --- | --- |
| 14.08 | 33 | 2 0 0 |
| 15.75 | 37 | 2 1 0 |
| 22.65 | 64 | 0 0 1 |
| 25.53 | 60 | 3 2 0 |
| 27.71 | 30 | 2 1 1 |
| 29.27 | 54 | 4 1 0 |
| 31.81 | 52 | 4 2 0 |
| 32.03 | 100 | 3 1 1 |
| 34.39 | 35 | 3 2 1 |
| 45.61 | 34 | 6 2 0 |
| 46.24 | 35 | 0 0 2 |
| 56.82 | 62 | 5 5 1 |

Cell: 12.579 12.579 3.926 Å, 90.00 90.00 90.00°
Space group P4/mbm (No. 127)
Symmetry-distinct sites (fractional):
Na 0.157 0.343 0.000
Ho 0.000 0.000 0.000
Ta 0.000 0.500 0.500
Ta 0.079 0.789 0.500
O 0.000 0.500 0.000
O 0.003 0.341 0.500
O 0.059 0.130 0.500
O 0.076 0.812 0.000
O 0.221 0.721 0.500